Calculated XRD peak list
Compound: La2Ti2CoO8
Radiation: λ = 1.5418 Å (Cu Kα)
Structure: a cell relaxed with GGA+U
No peak broadening, texture or thermal motion is included.

The 8 most intense peaks (5° ≤ 2θ ≤ 70°), sorted by position:
(hkl)	Position (°2θ)	I_rel
0 0 1	7.0	59
1 0 2	27.9	100
1 0 3	32.1	34
1 1 0	34.2	26
1 1 1	34.9	29
1 1 4	44.9	33
2 0 0	49.1	29
2 1 2	57.4	26

Structure:
Unit cell a=3.7084 b=3.7084 c=12.6746 alpha=90.00 beta=90.00 gamma=90.00
Space group P-4m2 (No. 115)
Symmetry-distinct sites (fractional):
La 0.0000 0.5000 0.1158
Ti 0.0000 0.5000 0.7029
Co 0.0000 0.0000 0.5000
O 0.0000 0.0000 0.2537
O 0.0000 0.5000 0.5591
O 0.0000 0.5000 0.9270
O 0.5000 0.5000 0.2524